Record 1
The following is a computed powder diffraction line list of Eu. It was derived from a crystal structure in the Materials Project, relaxed with PBE, using Cu Kα (λ = 1.5418 Å).

The 8 most intense peaks (10 to 80 degrees two-theta), in order of falling intensity:
d [Å]	I_rel
3.185	100.0
2.758	51.4
1.663	45.2
1.950	37.6
1.266	18.4
1.234	17.0
1.592	13.1
1.379	6.1

Crystal structure
a b c (Å): 3.901 3.901 3.901
angles (deg): 60.00 60.00 60.00
Fractional coordinates of all 1 atoms:
Eu 0.000 0.000 0.000

---

Record 2
The following is a computed powder diffraction line list of EuF3. It was derived from a crystal structure in the Materials Project, relaxed with PBE, using Cu Kα (λ = 1.5418 Å).

The 12 most intense peaks (10 to 80 degrees two-theta), in order of falling intensity:
d [Å]	I_rel
3.294	100.0
3.025	73.4
3.563	67.0
3.715	61.6
2.001	45.2
1.936	37.0
1.994	33.0
2.571	24.5
2.032	22.1
3.786	22.1
1.798	22.1
1.740	21.1

Crystal structure
a b c (Å): 6.683 7.125 4.470
angles (deg): 90.00 90.00 90.00
Fractional coordinates of all 16 atoms:
Eu 0.134 0.250 0.057
Eu 0.366 0.750 0.557
Eu 0.634 0.250 0.443
Eu 0.866 0.750 0.943
F 0.020 0.750 0.422
F 0.165 0.566 0.891
F 0.165 0.934 0.891
F 0.335 0.066 0.391
F 0.335 0.434 0.391
F 0.480 0.250 0.922
F 0.520 0.750 0.078
F 0.665 0.566 0.609
F 0.665 0.934 0.609
F 0.835 0.066 0.109
F 0.835 0.434 0.109
F 0.980 0.250 0.578

---

Record 3
The following is a computed powder diffraction line list of EuHfF7. It was derived from a crystal structure in the Materials Project, relaxed with PBE, using Cu Kα (λ = 1.5418 Å).

The 12 most intense peaks (10 to 80 degrees two-theta), in order of falling intensity:
d [Å]	I_rel
4.190	100.0
4.116	39.8
3.164	29.8
3.541	17.0
2.896	15.3
1.943	15.0
2.101	14.7
3.964	14.5
1.840	13.4
3.355	13.0
3.053	11.1
1.966	10.8

Crystal structure
a b c (Å): 6.195 5.793 8.404
angles (deg): 90.00 101.61 90.00
Fractional coordinates of all 18 atoms:
Eu 0.157 0.000 0.186
Eu 0.843 0.500 0.814
Hf 0.312 0.990 0.724
Hf 0.688 0.490 0.276
F 0.050 0.315 0.024
F 0.051 0.198 0.714
F 0.125 0.703 0.718
F 0.258 0.994 0.481
F 0.357 0.986 0.968
F 0.428 0.278 0.267
F 0.470 0.751 0.261
F 0.530 0.251 0.739
F 0.572 0.778 0.733
F 0.643 0.486 0.032
F 0.742 0.494 0.519
F 0.875 0.203 0.282
F 0.949 0.698 0.286
F 0.950 0.815 0.976

---

Record 4
The following is a computed powder diffraction line list of K3EuF6. It was derived from a crystal structure in the Materials Project, relaxed with PBE, using Cu Kα (λ = 1.5418 Å).

The 12 most intense peaks (10 to 80 degrees two-theta), in order of falling intensity:
d [Å]	I_rel
5.667	100.0
3.557	99.4
3.429	68.9
2.028	48.4
1.957	33.8
5.030	28.8
2.515	23.7
2.344	22.1
4.688	20.0
2.299	19.7
2.861	17.6
2.250	15.4

Crystal structure
a b c (Å): 6.876 6.876 6.876
angles (deg): 117.70 117.70 94.04
Fractional coordinates of all 10 atoms:
K 0.000 0.000 0.000
K 0.250 0.750 0.500
K 0.750 0.250 0.500
Eu 0.500 0.500 0.000
F 0.188 0.500 0.688
F 0.257 0.257 0.000
F 0.500 0.188 0.688
F 0.500 0.812 0.312
F 0.743 0.743 0.000
F 0.812 0.500 0.312

---

Record 5
The following is a computed powder diffraction line list of K3EuF6. It was derived from a crystal structure in the Materials Project, relaxed with PBE, using Cu Kα (λ = 1.5418 Å).

The 12 most intense peaks (10 to 80 degrees two-theta), in order of falling intensity:
d [Å]	I_rel
3.373	100.0
5.508	55.3
2.385	51.6
4.770	47.1
1.947	39.9
1.687	31.2
2.877	26.7
2.133	22.1
1.275	20.6
1.509	18.5
1.836	13.6
1.613	12.9

Crystal structure
a b c (Å): 6.746 6.746 6.746
angles (deg): 60.00 60.00 60.00
Fractional coordinates of all 10 atoms:
K 0.000 0.000 0.000
K 0.250 0.250 0.250
K 0.750 0.750 0.750
Eu 0.500 0.500 0.500
F 0.266 0.266 0.734
F 0.266 0.734 0.266
F 0.266 0.734 0.734
F 0.734 0.266 0.266
F 0.734 0.266 0.734
F 0.734 0.734 0.266

---

Record 6
The following is a computed powder diffraction line list of KEuF4. It was derived from a crystal structure in the Materials Project, relaxed with PBE, using Cu Kα (λ = 1.5418 Å).

The 12 most intense peaks (10 to 80 degrees two-theta), in order of falling intensity:
d [Å]	I_rel
3.137	100.0
7.861	93.8
3.335	87.4
4.918	72.6
2.185	70.2
3.031	47.8
1.839	40.2
2.401	37.9
3.151	35.8
1.910	34.5
1.817	31.3
1.853	28.2

Crystal structure
a b c (Å): 6.303 3.716 15.723
angles (deg): 90.00 90.00 90.00
Fractional coordinates of all 24 atoms:
K 0.224 0.250 0.201
K 0.276 0.750 0.701
K 0.724 0.250 0.299
K 0.776 0.750 0.799
Eu 0.249 0.750 0.439
Eu 0.251 0.250 0.939
Eu 0.749 0.750 0.061
Eu 0.751 0.250 0.561
F 0.003 0.250 0.058
F 0.089 0.250 0.807
F 0.107 0.250 0.365
F 0.134 0.250 0.536
F 0.366 0.750 0.036
F 0.393 0.750 0.865
F 0.411 0.750 0.307
F 0.497 0.750 0.558
F 0.503 0.250 0.442
F 0.589 0.250 0.693
F 0.607 0.250 0.135
F 0.634 0.250 0.964
F 0.866 0.750 0.464
F 0.893 0.750 0.635
F 0.911 0.750 0.193
F 0.997 0.750 0.942

---

Record 7
The following is a computed powder diffraction line list of K5Eu2Si4O13F. It was derived from a crystal structure in the Materials Project, relaxed with PBE, using Cu Kα (λ = 1.5418 Å).

The 12 most intense peaks (10 to 80 degrees two-theta), in order of falling intensity:
d [Å]	I_rel
2.932	100.0
4.508	77.9
2.974	58.1
3.066	53.7
2.254	50.5
5.671	48.9
3.670	44.2
4.659	40.3
2.825	36.5
7.341	33.7
3.455	27.7
2.759	25.9

Crystal structure
a b c (Å): 7.345 5.949 18.644
angles (deg): 90.00 91.93 90.00
Fractional coordinates of all 50 atoms:
K 0.020 0.250 0.248
K 0.241 0.750 0.990
K 0.292 0.250 0.686
K 0.305 0.250 0.494
K 0.363 0.750 0.194
K 0.637 0.250 0.806
K 0.695 0.750 0.506
K 0.708 0.750 0.314
K 0.759 0.250 0.010
K 0.980 0.750 0.752
Eu 0.101 0.250 0.872
Eu 0.166 0.750 0.389
Eu 0.834 0.250 0.611
Eu 0.899 0.750 0.128
Si 0.169 0.750 0.584
Si 0.214 0.250 0.077
Si 0.420 0.750 0.830
Si 0.460 0.250 0.327
Si 0.540 0.750 0.673
Si 0.580 0.250 0.170
Si 0.786 0.750 0.923
Si 0.831 0.250 0.416
O 0.053 0.519 0.594
O 0.053 0.981 0.594
O 0.127 0.021 0.111
O 0.127 0.479 0.111
O 0.192 0.250 0.989
O 0.279 0.750 0.509
O 0.300 0.521 0.828
O 0.300 0.979 0.828
O 0.317 0.750 0.656
O 0.373 0.019 0.356
O 0.373 0.481 0.356
O 0.435 0.250 0.237
O 0.441 0.250 0.096
O 0.559 0.750 0.904
O 0.565 0.750 0.763
O 0.627 0.519 0.644
O 0.627 0.981 0.644
O 0.683 0.250 0.344
O 0.700 0.021 0.172
O 0.700 0.479 0.172
O 0.721 0.250 0.491
O 0.808 0.750 0.011
O 0.873 0.521 0.889
O 0.873 0.979 0.889
O 0.947 0.019 0.406
O 0.947 0.481 0.406
F 0.039 0.750 0.258
F 0.961 0.250 0.742